Entry 1:
This entry pairs a crystal structure of GdSBr with its computed powder X-ray diffraction pattern. Radiation: λ = 1.5418 Å (Cu Kα). Structure: a DFT-relaxed cell (PBE, the Materials Project).
No peak broadening, texture or thermal motion is included.

Structure:
```
data_GdSBr
_chemical_formula_sum 'Gd4 S4 Br4'
_cell_length_a 6.840
_cell_length_b 6.970
_cell_length_c 6.822
_cell_angle_alpha 90.00
_cell_angle_beta 99.25
_cell_angle_gamma 90.00
_space_group_name_H-M_alt 'P 1 21/c 1'
_space_group_IT_number 14
loop_
_space_group_symop_operation_xyz
'x,y,z'
'-x,-y,-z'
'-x,y+1/2,-z+1/2'
'x,-y+1/2,z+1/2'
loop_
_atom_site_label
_atom_site_type_symbol
_atom_site_fract_x
_atom_site_fract_y
_atom_site_fract_z
Gd1 Gd 0.181 0.035 0.290
S1 S 0.054 0.740 0.508
Br1 Br 0.415 0.116 0.713
```

Main lines, low angle first (10 to 90 degrees two-theta):
two_theta, I (rel.), index
18.31, 47.1, 0 1 1
21.31, 72.8, 1 1 -1
23.82, 57.9, 1 1 1
26.47, 66.6, 0 0 2
30.48, 100.0, 2 1 -1
30.88, 41.5, 1 2 -1
34.10, 64.4, 2 1 1
37.12, 67.2, 0 2 2
37.99, 39.8, 1 2 -2
41.06, 30.7, 1 3 0
42.32, 29.9, 0 1 3
46.70, 32.1, 2 1 -3


Entry 2:
This entry pairs a crystal structure of Na3In2P3O12 with its computed powder X-ray diffraction pattern. Radiation: λ = 1.5418 Å (Cu Kα). Structure: a DFT-relaxed cell (PBE, the Materials Project).
No peak broadening, texture or thermal motion is included.

Structure:
```
data_Na3In2P3O12
_chemical_formula_sum 'Na12 In8 P12 O48'
_cell_length_a 15.810
_cell_length_b 9.131
_cell_length_c 9.118
_cell_angle_alpha 90.00
_cell_angle_beta 125.12
_cell_angle_gamma 90.00
_space_group_name_H-M_alt 'C 1 c 1'
_space_group_IT_number 9
loop_
_space_group_symop_operation_xyz
'x,y,z'
'x,-y,z+1/2'
'x+1/2,y+1/2,z'
'x+1/2,-y+1/2,z+1/2'
loop_
_atom_site_label
_atom_site_type_symbol
_atom_site_fract_x
_atom_site_fract_y
_atom_site_fract_z
Na1 Na 0.000 0.068 0.000
Na2 Na 0.068 0.272 0.425
Na3 Na 0.311 0.102 0.661
In1 In 0.210 0.258 0.264
In2 In 0.413 0.251 0.063
P1 P 0.160 0.099 0.859
P2 P 0.313 0.446 0.665
P3 P 0.459 0.102 0.467
O1 O 0.049 0.322 0.139
O2 O 0.069 0.162 0.679
O3 O 0.153 0.072 0.344
O4 O 0.155 0.134 0.021
O5 O 0.237 0.341 0.511
O6 O 0.253 0.458 0.212
O7 O 0.262 0.153 0.891
O8 O 0.359 0.155 0.445
O9 O 0.381 0.461 0.126
O10 O 0.394 0.349 0.829
O11 O 0.457 0.145 0.302
O12 O 0.466 0.068 0.978
```

Main lines, low angle first (10 to 90 degrees two-theta):
two_theta, I (rel.), index
13.71, 14.2, 2 0 0
19.44, 100.0, 3 1 -1
22.84, 22.3, 2 2 -1
27.63, 24.8, 2 2 -2
30.98, 66.1, 5 1 -1
33.99, 58.8, 2 0 2
44.34, 11.4, 5 1 1
46.64, 21.5, 4 4 -2
46.69, 13.1, 2 2 -4
53.04, 24.0, 1 5 1
58.92, 11.5, 6 4 0
59.02, 18.7, 1 1 -5